# ErNiSb
Theoretical powder diffraction line list, Cu Kα X-rays. Input: DFT lattice parameters and positions (GGA-PBE).
Lines closer than 0.1° are merged.

Largest 6 diffraction maxima, sorted by position, 2θ from 10° to 90°:
| 2theta | I/Imax |
| --- | --- |
| 28.3 | 51.3 |
| 40.4 | 100.0 |
| 50.1 | 14.4 |
| 58.5 | 16.6 |
| 66.2 | 18.9 |
| 73.5 | 33.3 |

Structure:
Cell: 6.310 6.310 6.310 Å, 90.00 90.00 90.00°
Space group F-43m (No. 216)
Asymmetric unit:
Er1 0.000 0.000 0.000 x4
Ni1 0.250 0.250 0.750 x4
Sb1 0.000 0.000 0.500 x4